The following is a computed XRD peak list of TbCeSe. It was derived from a cell relaxed with PBE, using Cu Kα X-rays.
Peak positions follow from Bragg's law for the DFT cell and can differ from measured ones.

Cell and atoms:
a = 4.065 Å, b = 4.065 Å, c = 8.671 Å
α = 90.00°, β = 90.00°, γ = 90.00°
Positions (direct):
1 Tb 0.250 0.250 0.134
2 Tb 0.750 0.750 0.866
3 Ce 0.250 0.750 0.500
4 Ce 0.750 0.250 0.500
5 Se 0.250 0.250 0.789
6 Se 0.750 0.750 0.211

Principal peaks in the range 10° ≤ 2θ ≤ 80°, in order of rising 2θ:
2theta, Rel. int., index
30.1, 25, 1 0 2
30.9, 44, 0 0 3
32.8, 100, 1 1 1
37.5, 52, 1 1 2
38.2, 21, 1 0 3
44.6, 44, 2 0 0
52.9, 23, 1 1 4
55.2, 34, 2 0 3